Starting from a cell relaxed with PBE, the XRD peak list of Zr3Cd7 was computed for Cu Kα (weighted mean of Kα1 and Kα2).
Lines closer than 0.1° are merged.

Atomic structure:
abc: 15.9338 4.5156 6.2667
angles: 90.00 106.49 90.00
Space group C2/m (No. 12)
Symmetry-distinct sites (fractional):
Zr  0.0000  0.0000  0.0000 x2
Zr  0.2037  0.0000  0.6129 x4
Cd  0.0000  0.0000  0.5000 x2
Cd  0.0961  0.5000  0.3170 x4
Cd  0.1043  0.5000  0.8229 x4
Cd  0.1977  0.0000  0.1078 x4

Principal peaks in the range 2θ = 15–90°, in order of rising 2θ:
(1 1 -2), d 2.567, 2θ = 35.0°, intensity 100
(5 1 0), d 2.531, 2θ = 35.5°, intensity 98
(6 0 -2), d 2.289, 2θ = 39.4°, intensity 36
(0 2 0), d 2.258, 2θ = 39.9°, intensity 35
(4 0 2), d 2.091, 2θ = 43.3°, intensity 27
(6 2 -2), d 1.608, 2θ = 57.3°, intensity 23
(4 2 2), d 1.534, 2θ = 60.3°, intensity 19
(7 1 -4), d 1.375, 2θ = 68.2°, intensity 12
(11 1 -2), d 1.358, 2θ = 69.2°, intensity 12
(1 3 -2), d 1.356, 2θ = 69.3°, intensity 13
(5 3 0), d 1.350, 2θ = 69.6°, intensity 13
(10 2 0), d 1.265, 2θ = 75.1°, intensity 10

***

Starting from a cell relaxed with PBE, the XRD peak list of Hg2Te2Br was computed for Cu Kα (weighted mean of Kα1 and Kα2).
Lines closer than 0.1° are merged.

Atomic structure:
abc: 8.8175 8.8175 3.6298
angles: 90.00 90.00 90.00
Space group P4/mbm (No. 127)
Symmetry-distinct sites (fractional):
Hg  0.1650  0.3350  0.0000 x4
Te  0.1392  0.6392  0.5000 x4
Br  0.0000  0.0000  0.0000 x2

Principal peaks in the range 2θ = 15–90°, in order of rising 2θ:
(2 0 0), d 4.409, 2θ = 20.1°, intensity 8
(2 1 0), d 3.943, 2θ = 22.5°, intensity 7
(3 1 0), d 2.788, 2θ = 32.1°, intensity 42
(2 1 1), d 2.671, 2θ = 33.6°, intensity 100
(4 0 0), d 2.204, 2θ = 40.9°, intensity 8
(3 3 0), d 2.078, 2θ = 43.5°, intensity 13
(4 1 1), d 1.843, 2θ = 49.5°, intensity 18
(0 0 2), d 1.815, 2θ = 50.3°, intensity 9
(3 1 2), d 1.521, 2θ = 60.9°, intensity 13
(5 2 1), d 1.493, 2θ = 62.2°, intensity 21
(5 3 1), d 1.396, 2θ = 67.1°, intensity 7
(2 1 3), d 1.157, 2θ = 83.6°, intensity 8

***

Starting from a cell relaxed with PBE, the XRD peak list of PuCdPdO6 was computed for Cu Kα (weighted mean of Kα1 and Kα2).
Lines closer than 0.1° are merged.

Atomic structure:
abc: 5.3328 5.3328 9.9746
angles: 90.00 90.00 120.00
Space group P-31c (No. 163)
Symmetry-distinct sites (fractional):
Pu  0.3333  0.6667  0.2500 x2
Cd  0.0000  0.0000  0.0000 x2
Pd  0.3333  0.6667  0.7500 x2
O  0.0005  0.3538  0.6373 x12

Principal peaks in the range 2θ = 15–90°, in order of rising 2θ:
(0 0 2), d 4.987, 2θ = 17.8°, intensity 30
(1 0 1), d 4.191, 2θ = 21.2°, intensity 22
(1 0 2), d 3.389, 2θ = 26.3°, intensity 100
(1 1 0), d 2.666, 2θ = 33.6°, intensity 53
(0 0 4), d 2.494, 2θ = 36.0°, intensity 12
(1 1 2), d 2.351, 2θ = 38.3°, intensity 25
(2 0 2), d 2.095, 2θ = 43.2°, intensity 26
(1 1 4), d 1.821, 2θ = 50.1°, intensity 52
(2 1 2), d 1.648, 2θ = 55.8°, intensity 25
(3 0 0), d 1.539, 2θ = 60.1°, intensity 17
(3 0 4), d 1.310, 2θ = 72.1°, intensity 11
(4 -2 4), d 1.176, 2θ = 81.9°, intensity 12

***

Starting from a cell relaxed with PBE, the XRD peak list of La2Pm9Sm was computed for Cu Kα (weighted mean of Kα1 and Kα2).
Lines closer than 0.1° are merged.

Atomic structure:
abc: 5.1822 5.1822 15.5556
angles: 90.00 90.00 90.00
Space group P4/mmm (No. 123)
Symmetry-distinct sites (fractional):
La  0.0000  0.0000  0.1669 x2
Pm  0.0000  0.5000  0.0000 x2
Pm  0.0000  0.5000  0.3353 x4
Pm  0.5000  0.5000  0.1679 x2
Pm  0.5000  0.5000  0.5000 x1
Sm  0.0000  0.0000  0.5000 x1

Principal peaks in the range 2θ = 15–90°, in order of rising 2θ:
(1 1 3), d 2.993, 2θ = 29.9°, intensity 100
(2 0 0), d 2.592, 2θ = 34.6°, intensity 51
(2 2 0), d 1.833, 2θ = 49.8°, intensity 36
(3 1 3), d 1.563, 2θ = 59.1°, intensity 43
(2 2 6), d 1.496, 2θ = 62.0°, intensity 12
(4 0 0), d 1.296, 2θ = 73.0°, intensity 6
(3 3 3), d 1.189, 2θ = 80.8°, intensity 18
(4 2 0), d 1.159, 2θ = 83.4°, intensity 16

***

Starting from a cell relaxed with PBE, the XRD peak list of Li2BCl4 was computed for Cu Kα (weighted mean of Kα1 and Kα2).
Lines closer than 0.1° are merged.

Atomic structure:
abc: 5.7252 5.7252 9.8306
angles: 90.00 90.00 90.00
Space group I-42m (No. 121)
Symmetry-distinct sites (fractional):
Li  0.0000  0.5000  0.2500 x4
B  0.0000  0.0000  0.0000 x2
Cl  0.2143  0.2143  0.1184 x8

Principal peaks in the range 2θ = 15–90°, in order of rising 2θ:
(1 0 1), d 4.947, 2θ = 17.9°, intensity 20
(1 1 2), d 3.125, 2θ = 28.6°, intensity 100
(2 0 0), d 2.863, 2θ = 31.2°, intensity 25
(2 1 1), d 2.478, 2θ = 36.3°, intensity 10
(0 0 4), d 2.458, 2θ = 36.6°, intensity 9
(2 2 0), d 2.024, 2θ = 44.8°, intensity 12
(2 1 3), d 2.018, 2θ = 44.9°, intensity 8
(2 0 4), d 1.865, 2θ = 48.8°, intensity 21
(3 1 2), d 1.699, 2θ = 54.0°, intensity 17
(3 2 1), d 1.568, 2θ = 58.9°, intensity 6
(1 1 6), d 1.519, 2θ = 61.0°, intensity 8
(3 1 6), d 1.215, 2θ = 78.8°, intensity 5

***

Starting from a cell relaxed with PBE, the XRD peak list of Y3In3Rh2 was computed for Cu Kα (weighted mean of Kα1 and Kα2).
Lines closer than 0.1° are merged.

Atomic structure:
abc: 7.5981 17.2649 5.7127
angles: 90.00 90.00 90.00
Space group Pnma (No. 62)
Symmetry-distinct sites (fractional):
Y  0.0372  0.1112  0.1111 x8
Y  0.1581  0.2500  0.6629 x4
In  0.1735  0.7500  0.6651 x4
In  0.1783  0.0301  0.6075 x8
Rh  0.1166  0.6219  0.3856 x8

Principal peaks in the range 2θ = 15–90°, in order of rising 2θ:
(2 4 0), d 2.852, 2θ = 31.4°, intensity 48
(1 5 1), d 2.754, 2θ = 32.5°, intensity 23
(1 0 2), d 2.674, 2θ = 33.5°, intensity 19
(1 1 2), d 2.642, 2θ = 33.9°, intensity 29
(2 4 1), d 2.552, 2θ = 35.2°, intensity 100
(1 3 2), d 2.425, 2θ = 37.1°, intensity 43
(3 0 1), d 2.315, 2θ = 38.9°, intensity 42
(1 4 2), d 2.273, 2θ = 39.7°, intensity 57
(1 7 1), d 2.170, 2θ = 41.6°, intensity 25
(0 8 0), d 2.158, 2θ = 41.9°, intensity 23
(4 0 1), d 1.803, 2θ = 50.6°, intensity 16
(2 4 3), d 1.584, 2θ = 58.3°, intensity 15

***

Starting from a cell relaxed with PBE, the XRD peak list of Tb2CeTh12 was computed for Cu Kα (weighted mean of Kα1 and Kα2).
Lines closer than 0.1° are merged.

Atomic structure:
abc: 3.4620 5.7756 24.8550
angles: 90.00 90.00 90.00
Space group Pmmm (No. 47)
Symmetry-distinct sites (fractional):
Tb  0.0000  0.0000  0.2362 x2
Ce  0.0000  0.0000  0.5000 x1
Th  0.0000  0.5000  0.0634 x2
Th  0.0000  0.5000  0.4326 x2
Th  0.5000  0.0000  0.0837 x2
Th  0.5000  0.0000  0.3755 x2
Th  0.5000  0.5000  0.1795 x2
Th  0.5000  0.5000  0.3072 x2

Principal peaks in the range 2θ = 15–90°, in order of rising 2θ:
(1 0 2), d 3.335, 2θ = 26.7°, intensity 10
(0 1 7), d 3.025, 2θ = 29.5°, intensity 31
(0 2 0), d 2.888, 2θ = 31.0°, intensity 100
(0 1 8), d 2.736, 2θ = 32.7°, intensity 46
(1 1 4), d 2.679, 2θ = 33.4°, intensity 21
(1 1 6), d 2.413, 2θ = 37.3°, intensity 33
(1 2 4), d 2.089, 2θ = 43.3°, intensity 9
(2 0 0), d 1.731, 2θ = 52.9°, intensity 13
(1 3 2), d 1.667, 2θ = 55.1°, intensity 11
(0 3 8), d 1.636, 2θ = 56.2°, intensity 10
(2 2 0), d 1.485, 2θ = 62.6°, intensity 14
(2 1 8), d 1.463, 2θ = 63.6°, intensity 14

***

Starting from a cell relaxed with PBE, the XRD peak list of ZnRh2Se was computed for Cu Kα (weighted mean of Kα1 and Kα2).
Lines closer than 0.1° are merged.

Atomic structure:
abc: 3.2602 3.7370 10.3334
angles: 90.00 90.00 90.00
Space group Imm2 (No. 44)
Symmetry-distinct sites (fractional):
Zn  0.0000  0.0000  0.0000 x2
Rh  0.0000  0.0000  0.5777 x2
Rh  0.0000  0.5000  0.8170 x2
Se  0.0000  0.5000  0.2525 x2

Principal peaks in the range 2θ = 15–90°, in order of rising 2θ:
(0 1 1), d 3.514, 2θ = 25.3°, intensity 9
(0 0 4), d 2.583, 2θ = 34.7°, intensity 19
(0 1 3), d 2.533, 2θ = 35.4°, intensity 19
(1 0 3), d 2.368, 2θ = 38.0°, intensity 14
(1 1 2), d 2.219, 2θ = 40.7°, intensity 100
(0 2 0), d 1.869, 2θ = 48.7°, intensity 18
(0 1 5), d 1.809, 2θ = 50.5°, intensity 11
(1 0 5), d 1.746, 2θ = 52.4°, intensity 13
(2 0 0), d 1.630, 2θ = 56.4°, intensity 11
(1 2 5), d 1.276, 2θ = 74.4°, intensity 9
(2 2 0), d 1.228, 2θ = 77.7°, intensity 9
(1 3 2), d 1.135, 2θ = 85.5°, intensity 11

***

Starting from a cell relaxed with PBE, the XRD peak list of Rb2InSn6 was computed for Cu Kα (weighted mean of Kα1 and Kα2).
Lines closer than 0.1° are merged.

Atomic structure:
abc: 7.0661 7.0661 6.7970
angles: 90.00 90.00 120.00
Space group P-3m1 (No. 164)
Symmetry-distinct sites (fractional):
Rb  0.3333  0.6667  0.1363 x2
In  0.0000  0.0000  0.0000 x1
Sn  0.1779  0.3558  0.6538 x6

Principal peaks in the range 2θ = 15–90°, in order of rising 2θ:
(1 1 1), d 3.135, 2θ = 28.5°, intensity 39
(2 0 0), d 3.060, 2θ = 29.2°, intensity 15
(0 1 2), d 2.971, 2θ = 30.1°, intensity 40
(2 0 1), d 2.790, 2θ = 32.1°, intensity 100
(0 2 2), d 2.274, 2θ = 39.6°, intensity 31
(0 3 1), d 1.954, 2θ = 46.5°, intensity 13
(1 2 2), d 1.912, 2θ = 47.6°, intensity 11
(2 2 0), d 1.767, 2θ = 51.7°, intensity 27
(1 2 3), d 1.619, 2θ = 56.9°, intensity 15
(0 4 1), d 1.493, 2θ = 62.2°, intensity 14
(2 0 4), d 1.486, 2θ = 62.5°, intensity 12
(0 2 5), d 1.242, 2θ = 76.7°, intensity 14

***

Starting from a cell relaxed with PBE, the XRD peak list of Dy4GaSe2 was computed for Cu Kα (weighted mean of Kα1 and Kα2).
Lines closer than 0.1° are merged.

Atomic structure:
abc: 15.0479 3.9794 6.9351
angles: 90.00 117.09 90.00
Space group C2/m (No. 12)
Symmetry-distinct sites (fractional):
Dy  0.1164  0.0000  0.2692 x4
Dy  0.1235  0.5000  0.8061 x4
Ga  0.0000  0.0000  0.5000 x2
Se  0.2493  0.0000  0.7387 x4

Principal peaks in the range 2θ = 15–90°, in order of rising 2θ:
(4 0 0), d 3.349, 2θ = 26.6°, intensity 14
(0 0 2), d 3.087, 2θ = 28.9°, intensity 28
(3 1 -1), d 3.067, 2θ = 29.1°, intensity 100
(6 0 -2), d 2.405, 2θ = 37.4°, intensity 40
(5 1 -1), d 2.400, 2θ = 37.5°, intensity 16
(3 1 -3), d 1.999, 2θ = 45.4°, intensity 29
(0 2 0), d 1.990, 2θ = 45.6°, intensity 15
(5 1 1), d 1.877, 2θ = 48.5°, intensity 11
(8 0 -2), d 1.872, 2θ = 48.6°, intensity 14
(8 0 0), d 1.675, 2θ = 54.8°, intensity 13
(0 2 2), d 1.672, 2θ = 54.9°, intensity 14
(8 2 0), d 1.281, 2θ = 74.0°, intensity 11

***

Starting from a cell relaxed with PBE, the XRD peak list of Dy4Y10Tm was computed for Cu Kα (weighted mean of Kα1 and Kα2).
Lines closer than 0.1° are merged.

Atomic structure:
abc: 12.1552 12.1552 7.6832
angles: 90.00 90.00 90.00
Space group I4/m (No. 87)
Symmetry-distinct sites (fractional):
Dy  0.1006  0.2993  0.0000 x8
Y  0.0000  0.5000  0.2500 x4
Y  0.0992  0.8000  0.2506 x16
Tm  0.0000  0.0000  0.5000 x2

Principal peaks in the range 2θ = 15–90°, in order of rising 2θ:
(2 1 1), d 4.438, 2θ = 20.0°, intensity 51
(4 2 0), d 2.717, 2θ = 33.0°, intensity 100
(5 0 1), d 2.317, 2θ = 38.9°, intensity 28
(2 6 0), d 1.922, 2θ = 47.3°, intensity 18
(6 3 1), d 1.763, 2θ = 51.9°, intensity 12
(7 1 2), d 1.569, 2θ = 58.9°, intensity 37
(6 3 3), d 1.479, 2θ = 62.8°, intensity 9
(8 4 0), d 1.359, 2θ = 69.1°, intensity 11
(9 2 1), d 1.299, 2θ = 72.8°, intensity 9
(10 0 0), d 1.215, 2θ = 78.7°, intensity 16
(9 2 3), d 1.172, 2θ = 82.3°, intensity 3
(8 4 4), d 1.109, 2θ = 88.0°, intensity 4

***

Starting from a cell relaxed with PBE, the XRD peak list of Rb2ReI2Br4 was computed for Cu Kα (weighted mean of Kα1 and Kα2).
Lines closer than 0.1° are merged.

Atomic structure:
abc: 13.5335 7.8082 7.8756
angles: 90.00 124.71 90.00
Space group C2/m (No. 12)
Symmetry-distinct sites (fractional):
Rb  0.2469  0.0000  0.2271 x4
Re  0.0000  0.5000  0.0000 x2
I  0.2458  0.5000  0.2809 x4
Br  0.0183  0.2703  0.7912 x8

Principal peaks in the range 2θ = 15–90°, in order of rising 2θ:
(1 1 -1), d 5.545, 2θ = 16.0°, intensity 51
(2 0 -2), d 3.941, 2θ = 22.6°, intensity 15
(0 2 0), d 3.905, 2θ = 22.8°, intensity 17
(3 1 -2), d 3.343, 2θ = 26.7°, intensity 29
(0 0 2), d 3.237, 2θ = 27.6°, intensity 25
(2 2 0), d 3.194, 2θ = 27.9°, intensity 85
(4 0 0), d 2.781, 2θ = 32.2°, intensity 52
(2 2 -2), d 2.772, 2θ = 32.3°, intensity 100
(2 2 2), d 1.974, 2θ = 46.0°, intensity 32
(4 0 -4), d 1.969, 2θ = 46.1°, intensity 14
(0 4 0), d 1.953, 2θ = 46.5°, intensity 54
(4 4 0), d 1.597, 2θ = 57.7°, intensity 25